This entry pairs a crystal structure of Cr2Fe5 with its theoretical X-ray diffraction stick pattern. Radiation: Cu Kα. Structure: a DFT-relaxed cell (GGA-PBE, Alexandria).

Peak list (4 most intense, 10 to 80 degrees two-theta, low angle first)
index	2θ/deg	d/Å	intensity
1 1 0	44.95	2.017	51
1 0 7	45.29	2.002	100
2 0 0	65.45	1.426	15
0 0 14	66.50	1.406	7

```
14
Lattice="2.852 0.000 0.000 0.000 2.852 0.000 0.000 0.000 19.684" Properties=species:S:1:pos:R:3 pbc="T T T"
Cr 0.000 0.000 4.236
Cr 0.000 0.000 15.448
Cr 1.426 1.426 5.606
Cr 1.426 1.426 14.079
Fe 0.000 0.000 1.418
Fe 0.000 0.000 7.009
Fe 0.000 0.000 9.842
Fe 0.000 0.000 12.675
Fe 0.000 0.000 18.266
Fe 1.426 1.426 0.000
Fe 1.426 1.426 2.833
Fe 1.426 1.426 8.424
Fe 1.426 1.426 11.260
Fe 1.426 1.426 16.851
```